Calculated powder diffraction line list of SmPa5C6 for copper Kα, from DFT lattice parameters and positions (GGA-PBE).
Lines closer than 0.1° are merged.

Structure:
Lattice parameters (Å, degrees): 6.2632 6.2632 6.2685 99.55 99.55 120.03
Sites, in units of the cell vectors:
Sm 0.0000 0.0000 0.0000
Pa 0.1651 0.8349 0.5000
Pa 0.3327 0.6673 0.0000
Pa 0.5000 0.5000 0.5000
Pa 0.6673 0.3327 0.0000
Pa 0.8349 0.1651 0.5000
C 0.0863 0.4394 0.2615
C 0.2716 0.2716 0.7459
C 0.4394 0.0863 0.2615
C 0.5606 0.9137 0.7385
C 0.7284 0.7284 0.2541
C 0.9137 0.5606 0.7385

The 10 most intense peaks (2θ = 10–80°), low angle first:
two_theta	I/Imax
14.98	1
17.10	1
19.19	1
30.26	100
35.08	63
50.46	45
59.92	8
59.99	39
62.94	15
74.14	7

Calculated powder diffraction line list of AlSiMo for copper Kα, from DFT lattice parameters and positions (GGA-PBE).
Lines closer than 0.1° are merged.

Structure:
Lattice parameters (Å, degrees): 6.0237 4.7702 4.9910 76.17 50.26 53.57
Sites, in units of the cell vectors:
Al 0.0000 0.0000 0.0000
Al 0.2500 0.2500 0.2500
Si 0.6745 0.6745 0.3255
Si 0.9245 0.9245 0.5755
Mo 0.3395 0.3395 0.6605
Mo 0.5895 0.5895 0.9105

The 10 most intense peaks (2θ = 10–80°), low angle first:
two_theta	I/Imax
23.81	75
29.72	48
37.70	23
39.14	100
41.18	43
43.18	75
43.83	23
49.31	50
66.14	20
76.45	27